This entry pairs a crystal structure of NaTmV2O6 with its calculated X-ray diffraction stick pattern. Radiation: Cu Kα. Structure: a crystal structure in Alexandria, relaxed with GGA+U.

```
20
Lattice="5.2601 -4.8395 0.0000 5.2601 4.8395 0.0000 -1.9469 0.0000 5.7132" Properties=species:S:1:pos:R:3 pbc="T T T"
Na 3.8000 2.8485 4.2849
Na 4.7734 -2.8485 1.4283
Tm 4.7734 0.8774 1.4283
Tm 3.8000 -0.8774 4.2849
V 0.6623 0.8878 4.2913
V 1.6357 -0.8878 1.4347
V 6.9376 0.8878 4.2785
V 7.9111 -0.8878 1.4219
O 3.2088 2.3454 1.8636
O -0.3731 0.0479 5.5424
O 0.6003 -0.0479 2.6858
O 2.3886 0.7978 4.9411
O 6.3380 2.3454 0.9930
O 3.3620 -0.7978 2.0845
O 5.2113 0.7978 3.6288
O 2.2354 -2.3454 4.7203
O 6.1848 -0.7978 0.7721
O 7.9731 0.0479 3.0274
O 8.9465 -0.0479 0.1708
O 5.3645 -2.3454 3.8496
```

Largest 8 diffraction maxima, in order of rising 2θ, 10 to 90 degrees two-theta:
2θ 12.8, rel. 100
2θ 17.8, rel. 52
2θ 18.3, rel. 23
2θ 26.9, rel. 96
2θ 28.4, rel. 60
2θ 31.3, rel. 41
2θ 31.7, rel. 40
2θ 33.1, rel. 43